(1)
Diffraction record for ErAg5. The X-ray powder pattern is computed, not measured: it uses a crystal structure in Alexandria, relaxed with GGA-PBE and λ = 1.5418 Å (Cu Kα).
Neutral-atom scattering factors, no anomalous dispersion.

```
data_ErAg5
_chemical_formula_sum 'Er2 Ag10'
_space_group_name_H-M_alt 'P 1'
_space_group_IT_number 1
_space_group_name_Hall 'P 1'
_cell_length_a 5.2044
_cell_length_b 9.0401
_cell_length_c 5.2446
_cell_angle_alpha 90.00
_cell_angle_beta 109.92
_cell_angle_gamma 90.00
loop_
_atom_site_label
_atom_site_type_symbol
_atom_site_fract_x
_atom_site_fract_y
_atom_site_fract_z
Er1 Er 0.0006 0.2500 0.2505
Er2 Er 0.9994 0.7500 0.7495
Ag1 Ag 0.9999 0.0841 0.7502
Ag2 Ag 0.9999 0.4159 0.7502
Ag3 Ag 0.0001 0.5841 0.2498
Ag4 Ag 0.0001 0.9159 0.2498
Ag5 Ag 0.5004 0.0755 0.2502
Ag6 Ag 0.5002 0.2500 0.7507
Ag7 Ag 0.5004 0.4245 0.2502
Ag8 Ag 0.4996 0.5755 0.7498
Ag9 Ag 0.4998 0.7500 0.2493
Ag10 Ag 0.4996 0.9245 0.7498
```

Most intense lines, 5 to 70 degrees two-theta, in order of rising 2θ:
| d/Å | Position (°2θ) | Rel. int. |
| --- | --- | --- |
| 3.866 | 23.0 | 1 |
| 3.320 | 26.9 | 1 |
| 2.464 | 36.5 | 100 |
| 2.447 | 36.7 | 33 |
| 2.139 | 42.3 | 22 |
| 2.126 | 42.5 | 43 |
| 1.512 | 61.3 | 14 |
| 1.507 | 61.5 | 7 |
| 1.503 | 61.7 | 14 |
| 1.500 | 61.9 | 7 |


(2)
Diffraction record for ErAg3F7. The X-ray powder pattern is computed, not measured: it uses a crystal structure in Alexandria, relaxed with GGA-PBE and λ = 1.5418 Å (Cu Kα).
Neutral-atom scattering factors, no anomalous dispersion.

```
data_ErAg3F7
_chemical_formula_sum 'Er1 Ag3 F7'
_space_group_name_H-M_alt 'P 1'
_space_group_IT_number 1
_space_group_name_Hall 'P 1'
_cell_length_a 5.6378
_cell_length_b 5.6378
_cell_length_c 6.7307
_cell_angle_alpha 114.89
_cell_angle_beta 114.89
_cell_angle_gamma 87.43
loop_
_atom_site_label
_atom_site_type_symbol
_atom_site_fract_x
_atom_site_fract_y
_atom_site_fract_z
Er1 Er 0.0000 0.0000 0.0000
Ag1 Ag 0.2449 0.7291 0.5276
Ag2 Ag 0.4871 0.4871 0.0313
Ag3 Ag 0.7291 0.2449 0.5276
F1 F 0.0940 0.0940 0.7417
F2 F 0.1174 0.6432 0.7714
F3 F 0.2721 0.8586 0.2612
F4 F 0.3444 0.3444 0.2594
F5 F 0.6432 0.1174 0.7714
F6 F 0.6938 0.6938 0.8972
F7 F 0.8586 0.2721 0.2612
```

Most intense lines, 5 to 70 degrees two-theta, in order of rising 2θ:
| d/Å | Position (°2θ) | Rel. int. |
| --- | --- | --- |
| 3.313 | 26.9 | 57 |
| 3.224 | 27.7 | 41 |
| 3.174 | 28.1 | 100 |
| 2.816 | 31.8 | 38 |
| 2.736 | 32.7 | 18 |
| 2.037 | 44.5 | 20 |
| 1.982 | 45.8 | 35 |
| 1.948 | 46.6 | 17 |
| 1.943 | 46.7 | 31 |
| 1.701 | 53.9 | 15 |


(3)
Diffraction record for ErAgHgF6. The X-ray powder pattern is computed, not measured: it uses a crystal structure in Alexandria, relaxed with GGA-PBE and λ = 1.5418 Å (Cu Kα).
Neutral-atom scattering factors, no anomalous dispersion.

```
data_ErAgHgF6
_chemical_formula_sum 'Er2 Ag2 Hg2 F12'
_space_group_name_H-M_alt 'P 1'
_space_group_IT_number 1
_space_group_name_Hall 'P 1'
_cell_length_a 5.3570
_cell_length_b 5.3570
_cell_length_c 10.9700
_cell_angle_alpha 90.00
_cell_angle_beta 90.00
_cell_angle_gamma 90.00
loop_
_atom_site_label
_atom_site_type_symbol
_atom_site_fract_x
_atom_site_fract_y
_atom_site_fract_z
Er1 Er 0.0000 0.0000 0.0000
Er2 Er 0.5000 0.5000 0.5000
Ag1 Ag 0.0000 0.0000 0.6658
Ag2 Ag 0.5000 0.5000 0.1658
Hg1 Hg 0.0000 0.0000 0.3340
Hg2 Hg 0.5000 0.5000 0.8340
F1 F 0.1814 0.1814 0.1556
F2 F 0.1973 0.1973 0.8562
F3 F 0.2146 0.2146 0.4903
F4 F 0.2854 0.7146 0.9903
F5 F 0.3027 0.6973 0.3562
F6 F 0.3186 0.6814 0.6556
F7 F 0.6814 0.3186 0.6556
F8 F 0.6973 0.3027 0.3562
F9 F 0.7146 0.2854 0.9903
F10 F 0.7854 0.7854 0.4903
F11 F 0.8027 0.8027 0.8562
F12 F 0.8186 0.8186 0.1556
```

Most intense lines, 5 to 70 degrees two-theta, in order of rising 2θ:
| d/Å | Position (°2θ) | Rel. int. |
| --- | --- | --- |
| 3.788 | 23.5 | 100 |
| 3.020 | 29.6 | 90 |
| 2.678 | 33.5 | 25 |
| 2.004 | 45.3 | 74 |
| 1.894 | 48.0 | 18 |
| 1.694 | 54.1 | 17 |
| 1.647 | 55.8 | 19 |
| 1.605 | 57.4 | 22 |
| 1.510 | 61.4 | 10 |
| 1.376 | 68.1 | 15 |


(4)
Diffraction record for ErAg2HgF6. The X-ray powder pattern is computed, not measured: it uses a crystal structure in Alexandria, relaxed with GGA-PBE and λ = 1.5418 Å (Cu Kα).
Neutral-atom scattering factors, no anomalous dispersion.

```
data_ErAg2HgF6
_chemical_formula_sum 'Er1 Ag2 Hg1 F6'
_space_group_name_H-M_alt 'P 1'
_space_group_IT_number 1
_space_group_name_Hall 'P 1'
_cell_length_a 5.7006
_cell_length_b 5.7214
_cell_length_c 6.2312
_cell_angle_alpha 112.01
_cell_angle_beta 106.21
_cell_angle_gamma 96.56
loop_
_atom_site_label
_atom_site_type_symbol
_atom_site_fract_x
_atom_site_fract_y
_atom_site_fract_z
Er1 Er 0.0000 0.0000 0.0000
Ag1 Ag 0.3720 0.6676 0.4433
Ag2 Ag 0.6833 0.2826 0.4396
Hg1 Hg 0.4266 0.4446 0.7696
F1 F 0.0355 0.6146 0.7863
F2 F 0.2592 0.9802 0.3170
F3 F 0.3325 0.2404 0.0016
F4 F 0.6964 0.8799 0.1063
F5 F 0.7406 0.9868 0.6652
F6 F 0.9806 0.3841 0.2436
```

Most intense lines, 5 to 70 degrees two-theta, in order of rising 2θ:
| d/Å | Position (°2θ) | Rel. int. |
| --- | --- | --- |
| 4.919 | 18.0 | 58 |
| 4.252 | 20.9 | 44 |
| 3.468 | 25.7 | 66 |
| 3.308 | 27.0 | 100 |
| 3.261 | 27.3 | 56 |
| 3.232 | 27.6 | 76 |
| 2.912 | 30.7 | 44 |
| 2.838 | 31.5 | 48 |
| 2.800 | 32.0 | 50 |
| 2.164 | 41.7 | 46 |


(5)
Diffraction record for KEr2AgF8. The X-ray powder pattern is computed, not measured: it uses a crystal structure in Alexandria, relaxed with GGA-PBE and λ = 1.5418 Å (Cu Kα).
Neutral-atom scattering factors, no anomalous dispersion.

```
data_KEr2AgF8
_chemical_formula_sum 'K1 Er2 Ag1 F8'
_space_group_name_H-M_alt 'P 1'
_space_group_IT_number 1
_space_group_name_Hall 'P 1'
_cell_length_a 3.8328
_cell_length_b 6.1169
_cell_length_c 7.6465
_cell_angle_alpha 90.00
_cell_angle_beta 90.00
_cell_angle_gamma 90.00
loop_
_atom_site_label
_atom_site_type_symbol
_atom_site_fract_x
_atom_site_fract_y
_atom_site_fract_z
K1 K 0.0000 0.0000 0.0000
Er1 Er 0.5000 0.5000 0.2513
Er2 Er 0.5000 0.5000 0.7487
Ag1 Ag 0.0000 0.0000 0.5000
F1 F 0.0000 0.2954 0.2545
F2 F 0.0000 0.2954 0.7455
F3 F 0.0000 0.7046 0.2545
F4 F 0.0000 0.7046 0.7455
F5 F 0.5000 0.2922 0.5000
F6 F 0.5000 0.2973 0.0000
F7 F 0.5000 0.7027 0.0000
F8 F 0.5000 0.7078 0.5000
```

Most intense lines, 5 to 70 degrees two-theta, in order of rising 2θ:
| d/Å | Position (°2θ) | Rel. int. |
| --- | --- | --- |
| 6.117 | 14.5 | 23 |
| 3.828 | 23.2 | 10 |
| 3.245 | 27.5 | 100 |
| 3.058 | 29.2 | 11 |
| 2.707 | 33.1 | 14 |
| 2.027 | 44.7 | 42 |
| 1.916 | 47.4 | 9 |
| 1.912 | 47.6 | 9 |
| 1.800 | 50.7 | 18 |
| 1.649 | 55.8 | 27 |


(6)
Diffraction record for Li2ErAgF6. The X-ray powder pattern is computed, not measured: it uses a crystal structure in Alexandria, relaxed with GGA-PBE and λ = 1.5418 Å (Cu Kα).
Neutral-atom scattering factors, no anomalous dispersion.

```
data_Li2ErAgF6
_chemical_formula_sum 'Li2 Er1 Ag1 F6'
_space_group_name_H-M_alt 'P 1'
_space_group_IT_number 1
_space_group_name_Hall 'P 1'
_cell_length_a 5.8015
_cell_length_b 5.8015
_cell_length_c 5.8015
_cell_angle_alpha 57.00
_cell_angle_beta 57.00
_cell_angle_gamma 57.00
loop_
_atom_site_label
_atom_site_type_symbol
_atom_site_fract_x
_atom_site_fract_y
_atom_site_fract_z
Li1 Li 0.0000 0.0000 0.0000
Li2 Li 0.4948 0.4948 0.4948
Er1 Er 0.7864 0.7864 0.7864
Ag1 Ag 0.2662 0.2662 0.2662
F1 F 0.0955 0.3682 0.7355
F2 F 0.2071 0.8153 0.6527
F3 F 0.3682 0.7354 0.0955
F4 F 0.6527 0.2071 0.8153
F5 F 0.7354 0.0955 0.3682
F6 F 0.8153 0.6527 0.2071
```

Most intense lines, 5 to 70 degrees two-theta, in order of rising 2θ:
| d/Å | Position (°2θ) | Rel. int. |
| --- | --- | --- |
| 4.001 | 22.2 | 100 |
| 2.895 | 30.9 | 49 |
| 2.768 | 32.3 | 34 |
| 2.403 | 37.4 | 10 |
| 2.277 | 39.6 | 34 |
| 2.001 | 45.3 | 21 |
| 1.822 | 50.1 | 27 |
| 1.758 | 52.0 | 21 |
| 1.622 | 56.8 | 19 |
| 1.598 | 57.7 | 14 |


(7)
Diffraction record for ErMgAgF6. The X-ray powder pattern is computed, not measured: it uses a crystal structure in Alexandria, relaxed with GGA-PBE and λ = 1.5418 Å (Cu Kα).
Neutral-atom scattering factors, no anomalous dispersion.

```
data_ErMgAgF6
_chemical_formula_sum 'Er2 Mg2 Ag2 F12'
_space_group_name_H-M_alt 'P 1'
_space_group_IT_number 1
_space_group_name_Hall 'P 1'
_cell_length_a 5.1678
_cell_length_b 5.1678
_cell_length_c 10.1287
_cell_angle_alpha 90.00
_cell_angle_beta 90.00
_cell_angle_gamma 90.00
loop_
_atom_site_label
_atom_site_type_symbol
_atom_site_fract_x
_atom_site_fract_y
_atom_site_fract_z
Er1 Er 0.0000 0.0000 0.0000
Er2 Er 0.5000 0.5000 0.5000
Mg1 Mg 0.0000 0.0000 0.6604
Mg2 Mg 0.5000 0.5000 0.1604
Ag1 Ag 0.0000 0.0000 0.3283
Ag2 Ag 0.5000 0.5000 0.8283
F1 F 0.1719 0.1719 0.8214
F2 F 0.2054 0.2054 0.5257
F3 F 0.2256 0.2256 0.1390
F4 F 0.2744 0.7256 0.6390
F5 F 0.2946 0.7054 0.0257
F6 F 0.3281 0.6719 0.3214
F7 F 0.6719 0.3281 0.3214
F8 F 0.7054 0.2946 0.0257
F9 F 0.7256 0.2744 0.6390
F10 F 0.7744 0.7744 0.1390
F11 F 0.7946 0.7946 0.5257
F12 F 0.8281 0.8281 0.8214
```

Most intense lines, 5 to 70 degrees two-theta, in order of rising 2θ:
| d/Å | Position (°2θ) | Rel. int. |
| --- | --- | --- |
| 4.603 | 19.3 | 47 |
| 3.654 | 24.4 | 100 |
| 2.963 | 30.2 | 16 |
| 2.826 | 31.7 | 74 |
| 2.584 | 34.7 | 17 |
| 2.253 | 40.0 | 18 |
| 1.907 | 47.7 | 68 |
| 1.827 | 49.9 | 19 |
| 1.634 | 56.3 | 15 |
| 1.534 | 60.4 | 36 |